Computed XRD peak list of RbMgCr2O8 for CuKα, from a cell relaxed with PBE+U.

Principal peaks in the range 15° ≤ 2θ ≤ 90°, sorted by position:
2theta	I/Imax
18.3	11
21.6	100
29.3	52
32.0	45
34.0	14
34.4	12
43.9	25
51.2	15
55.3	16
57.4	15

Cell and atoms:
```
data_RbMgCr2O8
_chemical_formula_sum 'Rb1 Mg1 Cr2 O8'
_symmetry_space_group_name_H-M 'P 1'
_symmetry_Int_Tables_number 1
_cell_length_a 5.599
_cell_length_b 5.599
_cell_length_c 7.830
_cell_angle_alpha 90.00
_cell_angle_beta 90.00
_cell_angle_gamma 120.00
loop_
_symmetry_equiv_pos_as_xyz
'x,y,z'
loop_
_atom_site_label
_atom_site_type_symbol
_atom_site_fract_x
_atom_site_fract_y
_atom_site_fract_z
Rb1 Rb 0.000 0.000 0.000
Mg1 Mg 0.000 0.000 0.500
Cr1 Cr 0.333 0.667 0.727
Cr2 Cr 0.667 0.333 0.273
O1 O 0.169 0.341 0.658
O2 O 0.172 0.831 0.658
O3 O 0.333 0.667 0.937
O4 O 0.341 0.172 0.342
O5 O 0.659 0.828 0.658
O6 O 0.667 0.333 0.063
O7 O 0.828 0.169 0.342
O8 O 0.831 0.659 0.342
```